# CaGd4O7
Computed PXRD pattern, a wavelength of 1.5418 Å. Input: a DFT-relaxed cell (PBE, the Materials Project).
Peak positions follow from Bragg's law for the DFT cell and can differ from measured ones.

Structure:
Lattice parameters (Å, degrees): 7.2158 9.2081 11.6372 72.50 80.99 89.95
Atoms (fractional coordinates):
Ca 0.1102 0.3242 0.0636
Ca 0.2898 0.0703 0.3399
Ca 0.7102 0.9297 0.6601
Ca 0.8898 0.6758 0.9364
Gd 0.0192 0.7174 0.4291
Gd 0.0927 0.8699 0.1246
Gd 0.1877 0.5007 0.7406
Gd 0.2109 0.9345 0.6555
Gd 0.3086 0.4962 0.2606
Gd 0.3911 0.6737 0.9375
Gd 0.4058 0.1307 0.8732
Gd 0.4839 0.2841 0.5698
Gd 0.5161 0.7159 0.4302
Gd 0.5942 0.8693 0.1268
Gd 0.6089 0.3263 0.0625
Gd 0.6914 0.5038 0.7394
Gd 0.7891 0.0655 0.3445
Gd 0.8123 0.4993 0.2594
Gd 0.9073 0.1301 0.8754
Gd 0.9808 0.2826 0.5709
O 0.0268 0.4746 0.3856
O 0.0500 0.9755 0.2831
O 0.1080 0.5874 0.1010
O 0.1274 0.1164 0.9978
O 0.1781 0.7094 0.8095
O 0.1938 0.2624 0.7302
O 0.2480 0.8190 0.5065
O 0.2505 0.1770 0.4994
O 0.3087 0.7377 0.2728
O 0.3346 0.2939 0.1878
O 0.3775 0.8811 0.9993
O 0.4071 0.4200 0.9025
O 0.4407 0.0216 0.7185
O 0.4691 0.5246 0.6151
O 0.5309 0.4754 0.3849
O 0.5593 0.9784 0.2815
O 0.5929 0.5800 0.0975
O 0.6225 0.1189 0.0007
O 0.6654 0.7061 0.8122
O 0.6913 0.2623 0.7272
O 0.7495 0.8230 0.5006
O 0.7520 0.1810 0.4935
O 0.8062 0.7376 0.2698
O 0.8219 0.2906 0.1905
O 0.8726 0.8836 0.0022
O 0.8920 0.4126 0.8990
O 0.9500 0.0245 0.7169
O 0.9732 0.5254 0.6144

Peak list (8 most intense, 2θ from 10° to 90°, by angle)
| hkl | Position (°2θ) | I (rel.) |
| --- | --- | --- |
| -2 1 1 | 28.09 | 90 |
| 0 2 -2 | 29.72 | 100 |
| 0 3 2 | 29.95 | 76 |
| 0 1 4 | 31.13 | 55 |
| 2 2 1 | 31.58 | 100 |
| 2 0 3 | 32.12 | 53 |
| 2 0 -2 | 32.17 | 51 |
| 2 1 -3 | 41.80 | 51 |

***

# CaGdPd2
Computed PXRD pattern, a wavelength of 1.5418 Å. Input: a DFT-relaxed cell (PBE, the Materials Project).
Peak positions follow from Bragg's law for the DFT cell and can differ from measured ones.

Structure:
Lattice parameters (Å, degrees): 7.0634 7.0634 7.0634 90.00 90.00 90.00
Atoms (fractional coordinates):
Ca 0.0000 0.0000 0.0000
Ca 0.0000 0.5000 0.5000
Ca 0.5000 0.0000 0.5000
Ca 0.5000 0.5000 0.0000
Gd 0.0000 0.0000 0.5000
Gd 0.0000 0.5000 0.0000
Gd 0.5000 0.0000 0.0000
Gd 0.5000 0.5000 0.5000
Pd 0.2500 0.2500 0.2500
Pd 0.2500 0.2500 0.7500
Pd 0.2500 0.7500 0.2500
Pd 0.2500 0.7500 0.7500
Pd 0.7500 0.2500 0.2500
Pd 0.7500 0.2500 0.7500
Pd 0.7500 0.7500 0.2500
Pd 0.7500 0.7500 0.7500

Peak list (8 most intense, 2θ from 10° to 90°, by angle)
| hkl | Position (°2θ) | I (rel.) |
| --- | --- | --- |
| 1 1 1 | 21.79 | 17 |
| 2 2 0 | 35.96 | 100 |
| 3 1 1 | 42.44 | 10 |
| 4 0 0 | 51.77 | 17 |
| 3 3 1 | 56.82 | 4 |
| 4 2 2 | 64.65 | 35 |
| 4 4 0 | 76.25 | 11 |
| 6 2 0 | 87.31 | 15 |